This entry pairs a crystal structure of BaNaMgSn2 with its computed powder diffractogram. Radiation: CuKα. Structure: a DFT-relaxed cell (GGA-PBE, Alexandria).

Principal peaks in the range 10° ≤ 2θ ≤ 80°, by angle:
(hkl)	d/Å	two_theta	I (rel.)
0 0 2	6.435	13.76	280
1 1 0	3.516	25.33	981
1 0 3	3.248	27.46	1000
1 1 2	3.085	28.94	674
2 0 0	2.486	36.13	678
1 0 5	2.286	39.42	762
2 1 3	1.974	45.97	495
2 2 0	1.758	52.02	240
2 1 5	1.683	54.54	600
3 2 5	1.215	78.73	215

Structure:
```
data_BaNaMgSn2
_chemical_formula_sum 'Ba2 Na2 Mg2 Sn4'
_space_group_name_H-M_alt 'I -4 m 2'
_space_group_IT_number 119
_space_group_name_Hall 'I -4 -2'
_cell_length_a 4.972
_cell_length_b 4.972
_cell_length_c 12.869
_cell_angle_alpha 90.00
_cell_angle_beta 90.00
_cell_angle_gamma 90.00
loop_
_atom_site_label
_atom_site_type_symbol
_atom_site_fract_x
_atom_site_fract_y
_atom_site_fract_z
Ba1 Ba 0.000 0.000 0.000
Na1 Na 0.000 0.500 0.250
Mg1 Mg 0.000 0.500 0.750
Sn1 Sn 0.000 0.000 0.388
```